Simulated PXRD pattern
Compound: Dy2Mo4O15
Radiation: a wavelength of 1.5418 Å
Structure: a structure optimized by DFT (PBE+U)
Intensities are scaled so that the largest is 100.

Structural model:
Cell: 6.9203 9.7402 10.7162 Å, 90.00 105.31 90.00°
Atoms (fractional coordinates):
Dy1 0.2110 0.0232 0.2762
Dy2 0.2110 0.4768 0.7762
Dy3 0.7890 0.5232 0.2238
Dy4 0.7890 0.9768 0.7238
Mo1 0.0818 0.7431 0.0111
Mo2 0.0818 0.7569 0.5111
Mo3 0.3791 0.0955 0.8440
Mo4 0.3791 0.4045 0.3440
Mo5 0.6209 0.5955 0.6560
Mo6 0.6209 0.9045 0.1560
Mo7 0.9182 0.2431 0.4889
Mo8 0.9182 0.2569 0.9889
O1 0.0234 0.1264 0.3967
O2 0.0234 0.3736 0.8967
O3 0.1159 0.1667 0.1010
O4 0.1159 0.3333 0.6010
O5 0.1207 0.0560 0.8163
O6 0.1207 0.4440 0.3163
O7 0.2210 0.6512 0.9188
O8 0.2210 0.8488 0.4188
O9 0.2442 0.6352 0.6182
O10 0.2442 0.8648 0.1182
O11 0.3865 0.2225 0.3523
O12 0.3865 0.2775 0.8523
O13 0.4478 0.0280 0.7075
O14 0.4478 0.4720 0.2075
O15 0.5000 0.0000 0.0000
O16 0.5000 0.5000 0.5000
O17 0.5522 0.5280 0.7925
O18 0.5522 0.9720 0.2925
O19 0.6135 0.7225 0.1477
O20 0.6135 0.7775 0.6477
O21 0.7558 0.1352 0.8818
O22 0.7558 0.3648 0.3818
O23 0.7790 0.1512 0.5812
O24 0.7790 0.3488 0.0812
O25 0.8793 0.5560 0.6837
O26 0.8793 0.9440 0.1837
O27 0.8841 0.6667 0.3990
O28 0.8841 0.8333 0.8990
O29 0.9766 0.6264 0.1033
O30 0.9766 0.8736 0.6033

Main lines, in order of rising 2θ (10 to 90 degrees two-theta):
2θ (°)	intensity
19.9	57
20.9	36
24.4	29
25.1	100
26.2	45
27.4	34
27.7	35
30.6	25
32.5	25
33.7	27

Simulated PXRD pattern
Compound: Dy2Mo2O7
Radiation: a wavelength of 1.5418 Å
Structure: a structure optimized by DFT (PBE+U)
Intensities are scaled so that the largest is 100.

Structural model:
Cell: 7.3619 7.3619 7.3619 Å, 60.00 60.00 60.00°
Atoms (fractional coordinates):
Dy1 0.0000 0.0000 0.0000
Dy2 0.0000 0.0000 0.5000
Dy3 0.0000 0.5000 0.0000
Dy4 0.5000 0.0000 0.0000
Mo1 0.0000 0.5000 0.5000
Mo2 0.5000 0.0000 0.5000
Mo3 0.5000 0.5000 0.0000
Mo4 0.5000 0.5000 0.5000
O1 0.1250 0.1250 0.1250
O2 0.1610 0.1610 0.5890
O3 0.1610 0.5890 0.1610
O4 0.1610 0.5890 0.5890
O5 0.4110 0.4110 0.8390
O6 0.4110 0.8390 0.4110
O7 0.4110 0.8390 0.8390
O8 0.5890 0.1610 0.1610
O9 0.5890 0.1610 0.5890
O10 0.5890 0.5890 0.1610
O11 0.8390 0.4110 0.4110
O12 0.8390 0.4110 0.8390
O13 0.8390 0.8390 0.4110
O14 0.8750 0.8750 0.8750

Main lines, in order of rising 2θ (10 to 90 degrees two-theta):
2θ (°)	intensity
14.7	6
29.7	100
34.5	32
37.7	6
49.5	48
58.8	43
61.7	10
72.7	7
80.4	17
82.9	14

Simulated PXRD pattern
Compound: Dy2Mo3O12
Radiation: a wavelength of 1.5418 Å
Structure: a structure optimized by DFT (PBE+U)
Intensities are scaled so that the largest is 100.

Structural model:
Cell: 6.9208 6.9208 11.4245 Å, 100.64 100.64 112.46°
Atoms (fractional coordinates):
Dy1 0.0441 0.2883 0.0912
Dy2 0.2883 0.0441 0.5912
Dy3 0.7117 0.9559 0.4088
Dy4 0.9559 0.7117 0.9088
Mo1 0.1313 0.8687 0.2500
Mo2 0.2456 0.4618 0.4491
Mo3 0.4618 0.2456 0.9491
Mo4 0.5382 0.7544 0.0509
Mo5 0.7544 0.5382 0.5509
Mo6 0.8687 0.1313 0.7500
O1 0.0760 0.6582 0.1077
O2 0.0836 0.1835 0.4621
O3 0.0947 0.4499 0.2990
O4 0.1239 0.2065 0.7174
O5 0.1835 0.0836 0.9621
O6 0.2065 0.1239 0.2174
O7 0.2321 0.6683 0.5588
O8 0.3317 0.7679 0.9412
O9 0.3418 0.9240 0.3923
O10 0.3978 0.4751 0.0767
O11 0.4499 0.0947 0.7990
O12 0.4751 0.3978 0.5767
O13 0.5249 0.6022 0.4233
O14 0.5501 0.9053 0.2010
O15 0.6022 0.5249 0.9233
O16 0.6582 0.0760 0.6077
O17 0.6683 0.2321 0.0588
O18 0.7679 0.3317 0.4412
O19 0.7935 0.8761 0.7826
O20 0.8165 0.9164 0.0379
O21 0.8761 0.7935 0.2826
O22 0.9053 0.5501 0.7010
O23 0.9164 0.8165 0.5379
O24 0.9240 0.3418 0.8923

Main lines, in order of rising 2θ (10 to 90 degrees two-theta):
2θ (°)	intensity
14.4	26
16.5	22
17.5	16
24.9	32
27.9	100
29.3	76
31.1	26
46.8	24
46.9	24
47.3	15

Please write out number 1 again, unchanged.
Simulated PXRD pattern
Compound: Dy2Mo4O15
Radiation: a wavelength of 1.5418 Å
Structure: a structure optimized by DFT (PBE+U)
Intensities are scaled so that the largest is 100.

Structural model:
Cell: 6.9203 9.7402 10.7162 Å, 90.00 105.31 90.00°
Atoms (fractional coordinates):
Dy1 0.2110 0.0232 0.2762
Dy2 0.2110 0.4768 0.7762
Dy3 0.7890 0.5232 0.2238
Dy4 0.7890 0.9768 0.7238
Mo1 0.0818 0.7431 0.0111
Mo2 0.0818 0.7569 0.5111
Mo3 0.3791 0.0955 0.8440
Mo4 0.3791 0.4045 0.3440
Mo5 0.6209 0.5955 0.6560
Mo6 0.6209 0.9045 0.1560
Mo7 0.9182 0.2431 0.4889
Mo8 0.9182 0.2569 0.9889
O1 0.0234 0.1264 0.3967
O2 0.0234 0.3736 0.8967
O3 0.1159 0.1667 0.1010
O4 0.1159 0.3333 0.6010
O5 0.1207 0.0560 0.8163
O6 0.1207 0.4440 0.3163
O7 0.2210 0.6512 0.9188
O8 0.2210 0.8488 0.4188
O9 0.2442 0.6352 0.6182
O10 0.2442 0.8648 0.1182
O11 0.3865 0.2225 0.3523
O12 0.3865 0.2775 0.8523
O13 0.4478 0.0280 0.7075
O14 0.4478 0.4720 0.2075
O15 0.5000 0.0000 0.0000
O16 0.5000 0.5000 0.5000
O17 0.5522 0.5280 0.7925
O18 0.5522 0.9720 0.2925
O19 0.6135 0.7225 0.1477
O20 0.6135 0.7775 0.6477
O21 0.7558 0.1352 0.8818
O22 0.7558 0.3648 0.3818
O23 0.7790 0.1512 0.5812
O24 0.7790 0.3488 0.0812
O25 0.8793 0.5560 0.6837
O26 0.8793 0.9440 0.1837
O27 0.8841 0.6667 0.3990
O28 0.8841 0.8333 0.8990
O29 0.9766 0.6264 0.1033
O30 0.9766 0.8736 0.6033

Main lines, in order of rising 2θ (10 to 90 degrees two-theta):
2θ (°)	intensity
19.9	57
20.9	36
24.4	29
25.1	100
26.2	45
27.4	34
27.7	35
30.6	25
32.5	25
33.7	27

Q: Which formula does entry 3 have?
A: Dy2Mo3O12

Q: Which formula does entry 2 have?
A: Dy2Mo2O7